No. 1
# Nb3Rh
Theoretical powder diffractogram, Cu Kα X-rays. Input: a DFT-relaxed cell (GGA-PBE, Alexandria).
Peak positions follow from Bragg's law for the DFT cell and can differ from measured ones.

Atomic structure:
```
data_Nb3Rh
_cell_length_a 5.1837
_cell_length_b 5.1837
_cell_length_c 5.1837
_cell_angle_alpha 90.00
_cell_angle_beta 90.00
_cell_angle_gamma 90.00
_symmetry_space_group_name_H-M 'P m -3 n'
_symmetry_Int_Tables_number 223
_symmetry_space_group_name_Hall '-P 4n 2 3'
loop_
_atom_site_label
_atom_site_type_symbol
_atom_site_fract_x
_atom_site_fract_y
_atom_site_fract_z
Nb1 Nb 0.0000 0.2500 0.5000
Rh1 Rh 0.0000 0.0000 0.0000
```

Main lines, most intense first (2θ from 10° to 90°):
h k l  two_theta  intensity
2 1 0  38.85  100
2 1 1  42.73  84
3 2 1  67.62  42
2 0 0  34.61  38
3 2 0  64.85  21
4 2 1  85.92  19
4 0 0  73.01  16
4 2 0  83.38  12
3 3 2  88.46  10
2 2 2  62.02  7



No. 2
# Nb3Rh2
Theoretical powder diffractogram, Cu Kα X-rays. Input: a DFT-relaxed cell (GGA-PBE, Alexandria).
Peak positions follow from Bragg's law for the DFT cell and can differ from measured ones.

Atomic structure:
```
data_Nb3Rh2
_cell_length_a 2.8997
_cell_length_b 3.7917
_cell_length_c 15.1408
_cell_angle_alpha 90.00
_cell_angle_beta 90.00
_cell_angle_gamma 90.00
_symmetry_space_group_name_H-M 'I m m m'
_symmetry_Int_Tables_number 71
_symmetry_space_group_name_Hall '-I 2 2'
loop_
_atom_site_label
_atom_site_type_symbol
_atom_site_fract_x
_atom_site_fract_y
_atom_site_fract_z
Nb1 Nb 0.0000 0.0000 0.0000
Nb2 Nb 0.0000 0.0000 0.1943
Rh1 Rh 0.0000 0.0000 0.4010
```

Main lines, most intense first (2θ from 10° to 90°):
h k l  two_theta  intensity
0 1 5  38.03  100
1 1 0  39.11  94
1 0 5  43.20  69
1 2 5  66.53  37
0 2 0  47.99  26
1 1 10  75.08  25
2 1 5  77.16  24
0 0 10  61.22  12
2 0 0  64.24  10
0 2 10  81.33  10



No. 3
# Nb7Rh
Theoretical powder diffractogram, Cu Kα X-rays. Input: a DFT-relaxed cell (GGA-PBE, Alexandria).
Peak positions follow from Bragg's law for the DFT cell and can differ from measured ones.

Atomic structure:
```
data_Nb7Rh
_cell_length_a 9.3195
_cell_length_b 9.3195
_cell_length_c 11.2981
_cell_angle_alpha 90.00
_cell_angle_beta 90.00
_cell_angle_gamma 120.00
_symmetry_space_group_name_H-M 'R -3 m'
_symmetry_Int_Tables_number 166
_symmetry_space_group_name_Hall '-R 3 2"'
loop_
_atom_site_label
_atom_site_type_symbol
_atom_site_fract_x
_atom_site_fract_y
_atom_site_fract_z
Nb1 Nb 0.0000 0.0000 0.1258
Nb2 Nb 0.0007 0.5003 0.6249
Nb3 Nb 0.0050 0.5025 0.1247
Rh1 Rh 0.0000 0.0000 0.3684
```

Main lines, most intense first (2θ from 10° to 90°):
h k l  two_theta  intensity
2 2 0  38.64  100
0 2 4  38.92  98
4 0 4  56.01  33
2 4 4  70.12  33
6 0 0  69.93  17
2 0 8  70.67  16
4 4 0  82.87  10
0 4 8  83.56  10



No. 4
# Nb2Rh3
Theoretical powder diffractogram, Cu Kα X-rays. Input: a DFT-relaxed cell (GGA-PBE, Alexandria).
Peak positions follow from Bragg's law for the DFT cell and can differ from measured ones.

Atomic structure:
```
data_Nb2Rh3
_cell_length_a 5.5759
_cell_length_b 11.7624
_cell_length_c 5.1070
_cell_angle_alpha 90.00
_cell_angle_beta 90.00
_cell_angle_gamma 90.00
_symmetry_space_group_name_H-M 'I b a m'
_symmetry_Int_Tables_number 72
_symmetry_space_group_name_Hall '-I 2 2c'
loop_
_atom_site_label
_atom_site_type_symbol
_atom_site_fract_x
_atom_site_fract_y
_atom_site_fract_z
Nb1 Nb 0.1911 0.1754 0.0000
Rh1 Rh 0.0000 0.0000 0.2500
Rh2 Rh 0.1428 0.3905 0.0000
```

Main lines, most intense first (2θ from 10° to 90°):
h k l  two_theta  intensity
2 1 1  37.54  100
1 4 1  38.86  81
0 4 2  47.14  55
1 5 0  41.67  49
1 1 2  39.57  44
0 0 2  35.14  44
3 5 2  75.00  35
2 0 2  48.33  34
2 2 0  35.64  31
2 3 1  43.60  28



Please write out number 1 again, unchanged.
# Nb3Rh
Theoretical powder diffractogram, Cu Kα X-rays. Input: a DFT-relaxed cell (GGA-PBE, Alexandria).
Peak positions follow from Bragg's law for the DFT cell and can differ from measured ones.

Atomic structure:
```
data_Nb3Rh
_cell_length_a 5.1837
_cell_length_b 5.1837
_cell_length_c 5.1837
_cell_angle_alpha 90.00
_cell_angle_beta 90.00
_cell_angle_gamma 90.00
_symmetry_space_group_name_H-M 'P m -3 n'
_symmetry_Int_Tables_number 223
_symmetry_space_group_name_Hall '-P 4n 2 3'
loop_
_atom_site_label
_atom_site_type_symbol
_atom_site_fract_x
_atom_site_fract_y
_atom_site_fract_z
Nb1 Nb 0.0000 0.2500 0.5000
Rh1 Rh 0.0000 0.0000 0.0000
```

Main lines, most intense first (2θ from 10° to 90°):
h k l  two_theta  intensity
2 1 0  38.85  100
2 1 1  42.73  84
3 2 1  67.62  42
2 0 0  34.61  38
3 2 0  64.85  21
4 2 1  85.92  19
4 0 0  73.01  16
4 2 0  83.38  12
3 3 2  88.46  10
2 2 2  62.02  7



Q: Number 1 is which compound?
A: Nb3Rh



Please write out number 1 again, unchanged.
# Nb3Rh
Theoretical powder diffractogram, Cu Kα X-rays. Input: a DFT-relaxed cell (GGA-PBE, Alexandria).
Peak positions follow from Bragg's law for the DFT cell and can differ from measured ones.

Atomic structure:
```
data_Nb3Rh
_cell_length_a 5.1837
_cell_length_b 5.1837
_cell_length_c 5.1837
_cell_angle_alpha 90.00
_cell_angle_beta 90.00
_cell_angle_gamma 90.00
_symmetry_space_group_name_H-M 'P m -3 n'
_symmetry_Int_Tables_number 223
_symmetry_space_group_name_Hall '-P 4n 2 3'
loop_
_atom_site_label
_atom_site_type_symbol
_atom_site_fract_x
_atom_site_fract_y
_atom_site_fract_z
Nb1 Nb 0.0000 0.2500 0.5000
Rh1 Rh 0.0000 0.0000 0.0000
```

Main lines, most intense first (2θ from 10° to 90°):
h k l  two_theta  intensity
2 1 0  38.85  100
2 1 1  42.73  84
3 2 1  67.62  42
2 0 0  34.61  38
3 2 0  64.85  21
4 2 1  85.92  19
4 0 0  73.01  16
4 2 0  83.38  12
3 3 2  88.46  10
2 2 2  62.02  7



What did the third record say?
# Nb7Rh
Theoretical powder diffractogram, Cu Kα X-rays. Input: a DFT-relaxed cell (GGA-PBE, Alexandria).
Peak positions follow from Bragg's law for the DFT cell and can differ from measured ones.

Atomic structure:
```
data_Nb7Rh
_cell_length_a 9.3195
_cell_length_b 9.3195
_cell_length_c 11.2981
_cell_angle_alpha 90.00
_cell_angle_beta 90.00
_cell_angle_gamma 120.00
_symmetry_space_group_name_H-M 'R -3 m'
_symmetry_Int_Tables_number 166
_symmetry_space_group_name_Hall '-R 3 2"'
loop_
_atom_site_label
_atom_site_type_symbol
_atom_site_fract_x
_atom_site_fract_y
_atom_site_fract_z
Nb1 Nb 0.0000 0.0000 0.1258
Nb2 Nb 0.0007 0.5003 0.6249
Nb3 Nb 0.0050 0.5025 0.1247
Rh1 Rh 0.0000 0.0000 0.3684
```

Main lines, most intense first (2θ from 10° to 90°):
h k l  two_theta  intensity
2 2 0  38.64  100
0 2 4  38.92  98
4 0 4  56.01  33
2 4 4  70.12  33
6 0 0  69.93  17
2 0 8  70.67  16
4 4 0  82.87  10
0 4 8  83.56  10